For Cs4AgF2, a cell relaxed with PBE gives the calculated powder diffraction line list in this record (copper Kα).
Lines closer than 0.1° are merged.

Main lines, sorted by position (5° ≤ 2θ ≤ 70°):
two_theta  Rel. int.
21.0  60
21.3  100
26.3  87
33.9  71
37.5  33
43.4  35

Cell and atoms:
Cell: 9.731 9.731 9.731 Å, 139.20 139.20 59.08°
Element x y z (fractional)
Cs  0.000  0.500  0.500
Cs  0.250  0.250  0.000
Cs  0.500  0.000  0.500
Cs  0.750  0.750  0.000
Ag  0.000  0.000  0.000
F  0.400  0.400  0.000
F  0.600  0.600  0.000